Starting from a structure optimized by DFT (PBE+U), the powder diffraction line list of Li2CoBiO4 was calculated for Cu Kα, 1.54184 Å.

The 6 most intense peaks (2θ = 10–90°), low angle first:
| 2θ/deg | I/Imax | hkl |
| --- | --- | --- |
| 16.3 | 100 | 0 2 1 |
| 19.5 | 93 | 0 0 2 |
| 28.1 | 50 | 0 4 1 |
| 34.7 | 42 | 1 1 2 |
| 35.5 | 95 | 1 3 1 |
| 45.7 | 41 | 1 3 3 |

Atomic structure:
```
data_Li2CoBiO4
_cell_length_a 3.237
_cell_length_b 13.551
_cell_length_c 9.098
_cell_angle_alpha 90.00
_cell_angle_beta 90.00
_cell_angle_gamma 90.00
_symmetry_space_group_name_H-M 'C m c m'
_symmetry_Int_Tables_number 63
_symmetry_space_group_name_Hall '-C 2c 2'
loop_
_atom_site_label
_atom_site_type_symbol
_atom_site_fract_x
_atom_site_fract_y
_atom_site_fract_z
_atom_site_occupancy
Li1 Li 0.000 0.086 0.049 1
Co1 Co 0.000 0.283 0.750 1
Bi1 Bi 0.000 0.415 0.250 1
O1 O 0.000 0.147 0.250 1
O2 O 0.000 0.174 0.615 1
O3 O 0.000 0.500 0.000 1
```